(1)
Starting from a structure optimized by DFT (GGA+U), the powder diffractogram of Te6MoO6F30 was simulated for Cu Kα.
No peak broadening, texture or thermal motion is included.

Peak list (8 most intense, 10° ≤ 2θ ≤ 90°, by angle)
two_theta  Rel. int.
18.78  50
20.21  41
20.41  79
22.93  50
23.17  100
32.03  27
38.56  16
39.21  17

Lattice parameters (Å, degrees): 9.350 9.354 9.467 68.35 63.73 82.81
Space group P-1 (No. 2)
Unique sites:
Te  0.001  0.231  0.243 (multiplicity 2)
Te  0.315  0.750  0.081 (multiplicity 2)
Te  0.325  0.241  0.607 (multiplicity 2)
Mo  0.000  0.000  0.000 (multiplicity 1)
O  0.007  0.168  0.069 (multiplicity 2)
O  0.127  0.127  0.769 (multiplicity 2)
O  0.191  0.924  0.030 (multiplicity 2)
F  0.004  0.710  0.587 (multiplicity 2)
F  0.101  0.591  0.826 (multiplicity 2)
F  0.105  0.054  0.316 (multiplicity 2)
F  0.129  0.623  0.223 (multiplicity 2)
F  0.198  0.337  0.099 (multiplicity 2)
F  0.198  0.873  0.609 (multiplicity 2)
F  0.216  0.420  0.559 (multiplicity 2)
F  0.304  0.794  0.262 (multiplicity 2)
F  0.310  0.197  0.436 (multiplicity 2)
F  0.331  0.703  0.899 (multiplicity 2)
F  0.345  0.289  0.773 (multiplicity 2)
F  0.433  0.579  0.134 (multiplicity 2)
F  0.439  0.063  0.649 (multiplicity 2)
F  0.483  0.649  0.551 (multiplicity 2)
F  0.497  0.128  0.058 (multiplicity 2)


(2)
Starting from a structure optimized by DFT (GGA+U), the powder diffractogram of Mn3V2O10 was simulated for Cu Kα.
No peak broadening, texture or thermal motion is included.

Peak list (8 most intense, 10° ≤ 2θ ≤ 90°, by angle)
two_theta  Rel. int.
12.50  62
17.07  100
18.69  28
27.70  17
36.99  17
41.25  32
41.62  33
44.94  26

Lattice parameters (Å, degrees): 5.014 5.575 7.733 70.34 73.13 76.85
Space group P-1 (No. 2)
Unique sites:
Mn  0.000  0.000  0.000 (multiplicity 1)
Mn  0.304  0.485  0.900 (multiplicity 2)
V  0.099  0.457  0.324 (multiplicity 2)
O  0.056  0.299  0.145 (multiplicity 2)
O  0.079  0.711  0.457 (multiplicity 2)
O  0.197  0.288  0.784 (multiplicity 2)
O  0.340  0.703  0.045 (multiplicity 2)
O  0.455  0.332  0.319 (multiplicity 2)


(3)
Starting from a structure optimized by DFT (GGA+U), the powder diffractogram of Li2VSi2O7 was simulated for Cu Kα.
No peak broadening, texture or thermal motion is included.

Peak list (8 most intense, 10° ≤ 2θ ≤ 90°, by angle)
two_theta  Rel. int.
15.44  39
21.56  69
22.28  58
24.43  100
30.46  43
33.05  24
34.68  38
40.67  29

Lattice parameters (Å, degrees): 5.195 6.072 16.490 91.75 92.12 94.69
Space group P-1 (No. 2)
Unique sites:
Li  0.200  0.175  0.488 (multiplicity 2)
Li  0.201  0.674  0.988 (multiplicity 2)
Li  0.300  0.237  0.675 (multiplicity 2)
Li  0.300  0.737  0.175 (multiplicity 2)
V  0.239  0.185  0.112 (multiplicity 2)
V  0.239  0.685  0.612 (multiplicity 2)
Si  0.211  0.027  0.313 (multiplicity 2)
Si  0.211  0.527  0.813 (multiplicity 2)
Si  0.303  0.156  0.923 (multiplicity 2)
Si  0.303  0.655  0.423 (multiplicity 2)
O  0.078  0.455  0.153 (multiplicity 2)
O  0.078  0.955  0.653 (multiplicity 2)
O  0.088  0.442  0.418 (multiplicity 2)
O  0.088  0.942  0.918 (multiplicity 2)
O  0.230  0.324  0.997 (multiplicity 2)
O  0.230  0.824  0.497 (multiplicity 2)
O  0.237  0.040  0.216 (multiplicity 2)
O  0.237  0.540  0.716 (multiplicity 2)
O  0.289  0.271  0.832 (multiplicity 2)
O  0.292  0.771  0.332 (multiplicity 2)
O  0.393  0.400  0.570 (multiplicity 2)
O  0.393  0.900  0.070 (multiplicity 2)
O  0.431  0.181  0.368 (multiplicity 2)
O  0.431  0.681  0.868 (multiplicity 2)


(4)
Starting from a structure optimized by DFT (GGA+U), the powder diffractogram of SrPrGdNiO6 was simulated for Cu Kα.
No peak broadening, texture or thermal motion is included.

Peak list (8 most intense, 10° ≤ 2θ ≤ 90°, by angle)
two_theta  Rel. int.
19.00  11
31.27  100
36.85  8
44.81  31
55.66  39
65.24  18
74.12  17
82.63  6

Lattice parameters (Å, degrees): 8.090 8.090 8.090 90.00 90.00 90.00
Space group F-43m (No. 216)
Unique sites:
Sr  0.000  0.000  0.000 (multiplicity 4)
Pr  0.000  0.000  0.500 (multiplicity 4)
Gd  0.250  0.250  0.750 (multiplicity 4)
Ni  0.250  0.250  0.250 (multiplicity 4)
O  0.020  0.250  0.250 (multiplicity 24)


(5)
Starting from a structure optimized by DFT (GGA+U), the powder diffractogram of Li4Mn3Cr2Cu3O16 was simulated for Cu Kα.
No peak broadening, texture or thermal motion is included.

Peak list (8 most intense, 10° ≤ 2θ ≤ 90°, by angle)
two_theta  Rel. int.
18.81  100
19.84  45
20.04  70
35.61  38
36.38  45
36.74  43
46.43  44
63.35  38

Lattice parameters (Å, degrees): 10.216 5.805 9.437 90.00 91.55 90.00
Space group Cm (No. 8)
Unique sites:
Li  0.000  0.000  0.000 (multiplicity 2)
Li  0.002  0.000  0.508 (multiplicity 2)
Li  0.166  0.500  0.906 (multiplicity 2)
Li  0.335  0.000  0.405 (multiplicity 2)
Mn  0.087  0.253  0.225 (multiplicity 4)
Mn  0.175  0.000  0.724 (multiplicity 2)
Cr  0.171  0.500  0.500 (multiplicity 2)
Cr  0.335  0.000  0.000 (multiplicity 2)
Cu  0.334  0.500  0.224 (multiplicity 2)
Cu  0.419  0.245  0.723 (multiplicity 4)
O  0.006  0.000  0.810 (multiplicity 2)
O  0.008  0.000  0.320 (multiplicity 2)
O  0.020  0.500  0.345 (multiplicity 2)
O  0.095  0.241  0.604 (multiplicity 4)
O  0.163  0.000  0.114 (multiplicity 2)
O  0.163  0.500  0.119 (multiplicity 2)
O  0.238  0.275  0.351 (multiplicity 4)
O  0.255  0.219  0.854 (multiplicity 4)
O  0.335  0.000  0.621 (multiplicity 2)
O  0.343  0.500  0.601 (multiplicity 2)
O  0.427  0.255  0.107 (multiplicity 4)
O  0.481  0.000  0.855 (multiplicity 2)


(6)
Starting from a structure optimized by DFT (GGA+U), the powder diffractogram of V3NiP4O16 was simulated for Cu Kα.
No peak broadening, texture or thermal motion is included.

Peak list (8 most intense, 10° ≤ 2θ ≤ 90°, by angle)
two_theta  Rel. int.
17.71  70
20.32  100
23.35  31
25.42  87
30.47  73
35.97  50
36.14  51
36.90  32

Lattice parameters (Å, degrees): 4.855 5.868 10.019 90.00 90.33 90.00
Space group Pm (No. 6)
Unique sites:
V  0.000  0.000  0.000 (multiplicity 1)
V  0.057  0.500  0.549 (multiplicity 1)
V  0.562  0.000  0.507 (multiplicity 1)
Ni  0.499  0.500  0.053 (multiplicity 1)
P  0.128  0.000  0.684 (multiplicity 1)
P  0.441  0.000  0.177 (multiplicity 1)
P  0.623  0.500  0.372 (multiplicity 1)
P  0.977  0.500  0.873 (multiplicity 1)
O  0.205  0.000  0.834 (multiplicity 1)
O  0.276  0.204  0.610 (multiplicity 2)
O  0.286  0.500  0.887 (multiplicity 1)
O  0.287  0.200  0.102 (multiplicity 2)
O  0.315  0.500  0.400 (multiplicity 1)
O  0.391  0.000  0.326 (multiplicity 1)
O  0.693  0.500  0.225 (multiplicity 1)
O  0.754  0.000  0.152 (multiplicity 1)
O  0.772  0.296  0.449 (multiplicity 2)
O  0.818  0.000  0.662 (multiplicity 1)
O  0.836  0.290  0.950 (multiplicity 2)
O  0.884  0.500  0.728 (multiplicity 1)


(7)
Starting from a structure optimized by DFT (GGA+U), the powder diffractogram of Mg6AlFeO8 was simulated for Cu Kα.
No peak broadening, texture or thermal motion is included.

Peak list (8 most intense, 10° ≤ 2θ ≤ 90°, by angle)
two_theta  Rel. int.
10.29  9
36.47  29
42.03  48
42.54  100
61.34  53
61.72  28
73.87  11
77.50  24

Lattice parameters (Å, degrees): 4.251 4.251 8.599 90.00 90.00 90.00
Space group P4/mmm (No. 123)
Unique sites:
Mg  0.000  0.000  0.000 (multiplicity 1)
Mg  0.000  0.000  0.500 (multiplicity 1)
Mg  0.000  0.500  0.242 (multiplicity 4)
Al  0.500  0.500  0.500 (multiplicity 1)
Fe  0.500  0.500  0.000 (multiplicity 1)
O  0.000  0.000  0.251 (multiplicity 2)
O  0.000  0.500  0.000 (multiplicity 2)
O  0.000  0.500  0.500 (multiplicity 2)
O  0.500  0.500  0.289 (multiplicity 2)